1.
This entry pairs a crystal structure of DyIn3Cu2 with its simulated powder diffraction line list. Radiation: copper Kα. Structure: DFT lattice parameters and positions (GGA-PBE).
Lines closer than 0.1° are merged.

Top 8 peaks for 15 to 90 degrees two-theta, low angle first:
| 2theta | I_rel |
| --- | --- |
| 27.35 | 57 |
| 35.55 | 65 |
| 37.35 | 100 |
| 41.55 | 29 |
| 42.33 | 28 |
| 56.44 | 34 |
| 58.98 | 25 |
| 79.63 | 25 |

Crystal structure
```
6
Lattice="5.8312 0.0000 0.0000 -2.9156 5.0500 0.0000 0.0000 0.0000 4.2705" Properties=species:S:1:pos:R:3 pbc="T T T"
Dy 0.0000 0.0000 0.0000
In -1.4578 2.5250 2.1352
In 2.9156 0.0000 2.1352
In 1.4578 2.5250 2.1352
Cu 0.0000 3.3667 0.0000
Cu 2.9156 1.6833 0.0000
```

2.
This entry pairs a crystal structure of Dy4In5Cu2 with its simulated powder diffraction line list. Radiation: copper Kα. Structure: DFT lattice parameters and positions (GGA-PBE).
Lines closer than 0.1° are merged.

Top 8 peaks for 15 to 90 degrees two-theta, low angle first:
| 2theta | I_rel |
| --- | --- |
| 31.46 | 41 |
| 32.52 | 91 |
| 33.59 | 100 |
| 33.86 | 91 |
| 35.12 | 51 |
| 35.69 | 53 |
| 38.02 | 62 |
| 49.81 | 41 |

Crystal structure
```
11
Lattice="7.6890 0.0000 0.0000 0.0000 3.6613 0.0000 -0.7396 0.0000 9.4750" Properties=species:S:1:pos:R:3 pbc="T T T"
Dy 1.1799 0.0000 3.3557
Dy 1.0168 0.0000 8.8581
Dy 5.9325 0.0000 0.6169
Dy 5.7695 0.0000 6.1194
In 0.7603 1.8307 6.1269
In 3.3573 1.8307 1.6300
In 3.4747 1.8307 4.7375
In 3.5921 1.8307 7.8450
In 6.1891 1.8307 3.3481
Cu 0.4364 1.8307 1.2168
Cu 6.5130 1.8307 8.2583
```

3.
This entry pairs a crystal structure of DyIn4CuSe8 with its simulated powder diffraction line list. Radiation: copper Kα. Structure: DFT lattice parameters and positions (GGA-PBE).
Lines closer than 0.1° are merged.

Top 8 peaks for 15 to 90 degrees two-theta, low angle first:
| 2theta | I_rel |
| --- | --- |
| 25.74 | 73 |
| 25.90 | 29 |
| 31.21 | 100 |
| 40.86 | 42 |
| 44.54 | 71 |
| 44.90 | 67 |
| 65.10 | 21 |
| 82.31 | 21 |

Crystal structure
```
14
Lattice="4.0681 2.3487 6.5688 -4.0681 2.3487 6.5688 0.0000 -4.6975 6.5688" Properties=species:S:1:pos:R:3 pbc="T T T"
Dy 0.0000 0.0000 0.0000
In -2.1399 -1.2355 16.1689
In 0.0000 0.0000 12.0770
In 2.1399 -1.2355 16.1689
In 0.0000 2.4710 16.1689
Cu 0.0000 0.0000 7.1821
Se -2.1739 -1.2551 11.2214
Se 0.0000 0.0000 4.6766
Se 0.0000 -2.3191 8.0580
Se -2.0084 1.1595 8.0580
Se 2.0084 1.1595 8.0580
Se 2.1739 -1.2551 11.2214
Se 0.0000 2.5102 11.2214
Se 0.0000 0.0000 14.7758
```

4.
This entry pairs a crystal structure of Dy3CuIr3 with its simulated powder diffraction line list. Radiation: copper Kα. Structure: DFT lattice parameters and positions (GGA-PBE).
Lines closer than 0.1° are merged.

Top 8 peaks for 15 to 90 degrees two-theta, low angle first:
| 2theta | I_rel |
| --- | --- |
| 26.52 | 28 |
| 34.18 | 41 |
| 35.21 | 56 |
| 39.73 | 100 |
| 39.92 | 32 |
| 40.97 | 29 |
| 43.18 | 41 |
| 60.25 | 25 |

Crystal structure
```
14
Lattice="2.0953 -5.0459 0.0000 2.0953 5.0459 0.0000 0.0000 0.0000 13.5508" Properties=species:S:1:pos:R:3 pbc="T T T"
Dy 2.0953 4.9135 10.1631
Dy 2.0953 2.0368 8.1625
Dy 2.0953 2.0368 12.1637
Dy 2.0953 -2.0368 1.3871
Dy 2.0953 -2.0368 5.3883
Dy 2.0953 -4.9135 3.3877
Cu 0.0000 0.0000 0.0000
Cu 0.0000 0.0000 6.7754
Ir 2.0953 2.3396 3.3877
Ir 2.0953 0.8852 1.2172
Ir 2.0953 0.8852 5.5582
Ir 2.0953 -0.8852 7.9926
Ir 2.0953 -0.8852 12.3336
Ir 2.0953 -2.3396 10.1631
```

5.
This entry pairs a crystal structure of Dy2CuIr with its simulated powder diffraction line list. Radiation: copper Kα. Structure: DFT lattice parameters and positions (GGA-PBE).
Lines closer than 0.1° are merged.

Top 8 peaks for 15 to 90 degrees two-theta, low angle first:
| 2theta | I_rel |
| --- | --- |
| 32.47 | 100 |
| 34.37 | 24 |
| 40.37 | 27 |
| 40.78 | 36 |
| 40.93 | 34 |
| 41.78 | 32 |
| 47.73 | 21 |
| 65.27 | 17 |

Crystal structure
```
8
Lattice="5.5636 0.0000 0.0000 0.0000 4.3242 0.0000 -2.6427 0.0000 7.1490" Properties=species:S:1:pos:R:3 pbc="T T T"
Dy 0.0455 1.0810 3.1164
Dy -1.1772 1.0810 6.6127
Dy 4.0980 3.2431 0.5363
Dy 2.8753 3.2431 4.0326
Cu 1.3500 3.2431 1.5122
Cu 1.5708 1.0810 5.6367
Ir 0.0615 3.2431 5.1068
Ir 2.8593 1.0810 2.0422
```

6.
This entry pairs a crystal structure of PmDyCuIr with its simulated powder diffraction line list. Radiation: copper Kα. Structure: DFT lattice parameters and positions (GGA-PBE).
Lines closer than 0.1° are merged.

Top 8 peaks for 15 to 90 degrees two-theta, low angle first:
| 2theta | I_rel |
| --- | --- |
| 16.80 | 19 |
| 32.00 | 100 |
| 33.98 | 24 |
| 34.36 | 29 |
| 39.97 | 24 |
| 40.30 | 64 |
| 41.53 | 28 |
| 46.65 | 20 |

Crystal structure
```
4
Lattice="4.3486 0.0000 0.0000 0.0000 1.9468 5.2762 0.0000 -1.9468 5.2762" Properties=species:S:1:pos:R:3 pbc="T T T"
Pm 0.0000 0.0000 0.0000
Dy 2.1743 0.0000 7.6183
Cu 2.1743 0.0000 4.5400
Ir 0.0000 0.0000 2.9545
```

7.
This entry pairs a crystal structure of PrDyCuIr with its simulated powder diffraction line list. Radiation: copper Kα. Structure: DFT lattice parameters and positions (GGA-PBE).
Lines closer than 0.1° are merged.

Top 8 peaks for 15 to 90 degrees two-theta, low angle first:
| 2theta | I_rel |
| --- | --- |
| 16.59 | 21 |
| 31.82 | 100 |
| 33.54 | 24 |
| 33.99 | 29 |
| 39.58 | 24 |
| 39.97 | 65 |
| 41.50 | 28 |
| 46.26 | 20 |

Crystal structure
```
4
Lattice="4.3523 0.0000 0.0000 0.0000 1.9623 5.3438 0.0000 -1.9623 5.3438" Properties=species:S:1:pos:R:3 pbc="T T T"
Pr 0.0000 0.0000 0.0000
Dy 2.1761 0.0000 2.9682
Cu 2.1761 0.0000 6.1221
Ir 0.0000 0.0000 7.7129
```

8.
This entry pairs a crystal structure of KDy2CuO4 with its simulated powder diffraction line list. Radiation: copper Kα. Structure: DFT lattice parameters and positions (GGA-PBE).
Lines closer than 0.1° are merged.

Top 8 peaks for 15 to 90 degrees two-theta, low angle first:
| 2theta | I_rel |
| --- | --- |
| 16.97 | 100 |
| 27.35 | 97 |
| 30.70 | 56 |
| 30.92 | 76 |
| 35.39 | 69 |
| 38.02 | 100 |
| 41.25 | 54 |
| 52.53 | 56 |

Crystal structure
```
16
Lattice="1.7300 -5.8246 0.0000 1.7300 5.8246 0.0000 0.0000 0.0000 11.8091" Properties=species:S:1:pos:R:3 pbc="T T T"
K 1.7300 4.6682 8.8568
K 1.7300 -4.6682 2.9523
Dy 1.7300 1.5448 6.6213
Dy 1.7300 1.5448 11.0924
Dy 1.7300 -1.5448 0.7167
Dy 1.7300 -1.5448 5.1878
Cu 1.7300 3.7726 2.9523
Cu 1.7300 -3.7726 8.8568
O 0.0000 0.0000 0.0000
O 0.0000 0.0000 5.9046
O 1.7300 2.8545 1.1510
O 1.7300 2.8545 4.7535
O 1.7300 0.8995 8.8568
O 1.7300 -0.8995 2.9523
O 1.7300 -2.8545 7.0556
O 1.7300 -2.8545 10.6581
```